(1)
Theoretical X-ray powder pattern of LiLa2GeN for Cu Kα X-rays, from a cell relaxed with GGA-PBE.
Kinematic intensities with the Lorentz-polarization factor, no thermal factor.

Principal peaks in the range 10 to 90 degrees two-theta, low angle first:
| Position (°2θ) | Rel. int. |
| --- | --- |
| 21.0 | 29 |
| 24.9 | 28 |
| 32.7 | 100 |
| 35.5 | 47 |
| 41.5 | 19 |
| 42.7 | 14 |
| 51.0 | 16 |
| 56.7 | 24 |
| 61.9 | 32 |
| 68.6 | 13 |

Crystal structure
Lattice parameters (Å, degrees): 5.064 5.064 4.237 90.00 90.00 90.00
Positions (direct):
1 Li 0.000 0.000 0.000
2 La 0.000 0.500 0.500
3 La 0.500 0.000 0.500
4 Ge 0.500 0.500 0.000
5 N 0.000 0.000 0.500


(2)
Theoretical X-ray powder pattern of LiLaGeN2 for Cu Kα X-rays, from a cell relaxed with GGA-PBE.
Kinematic intensities with the Lorentz-polarization factor, no thermal factor.

Principal peaks in the range 10 to 90 degrees two-theta, low angle first:
| Position (°2θ) | Rel. int. |
| --- | --- |
| 26.0 | 89 |
| 29.7 | 50 |
| 30.2 | 100 |
| 31.3 | 92 |
| 31.7 | 62 |
| 33.2 | 52 |
| 40.2 | 50 |
| 42.6 | 34 |
| 47.9 | 52 |
| 53.5 | 44 |

Crystal structure
Lattice parameters (Å, degrees): 5.682 4.032 6.547 90.00 96.19 90.00
Positions (direct):
1 Li 0.000 0.018 0.250
2 Li 0.000 0.982 0.750
3 La 0.500 0.254 0.750
4 La 0.500 0.746 0.250
5 Ge 0.000 0.500 0.000
6 Ge 0.000 0.500 0.500
7 N 0.262 0.205 0.065
8 N 0.262 0.795 0.565
9 N 0.738 0.205 0.435
10 N 0.738 0.795 0.935


(3)
Theoretical X-ray powder pattern of LiLaGe2Pd5 for Cu Kα X-rays, from a cell relaxed with GGA-PBE.
Kinematic intensities with the Lorentz-polarization factor, no thermal factor.

Principal peaks in the range 10 to 90 degrees two-theta, low angle first:
| Position (°2θ) | Rel. int. |
| --- | --- |
| 23.1 | 11 |
| 35.7 | 100 |
| 38.7 | 11 |
| 42.0 | 35 |
| 42.8 | 47 |
| 59.1 | 13 |
| 62.1 | 15 |
| 68.2 | 13 |
| 73.8 | 23 |
| 77.8 | 11 |

Crystal structure
Lattice parameters (Å, degrees): 4.227 4.227 9.297 90.00 90.00 90.00
Positions (direct):
1 Li 0.000 0.000 0.000
2 La 0.000 0.000 0.500
3 Ge 0.500 0.500 0.131
4 Ge 0.500 0.500 0.869
5 Pd 0.000 0.500 0.267
6 Pd 0.000 0.500 0.733
7 Pd 0.500 0.000 0.267
8 Pd 0.500 0.000 0.733
9 Pd 0.500 0.500 0.500


(4)
Theoretical X-ray powder pattern of Li2La2PmGe2 for Cu Kα X-rays, from a cell relaxed with GGA-PBE.
Kinematic intensities with the Lorentz-polarization factor, no thermal factor.

Principal peaks in the range 10 to 90 degrees two-theta, low angle first:
| Position (°2θ) | Rel. int. |
| --- | --- |
| 22.8 | 94 |
| 32.1 | 100 |
| 34.5 | 89 |
| 39.5 | 79 |
| 46.1 | 14 |
| 51.8 | 34 |
| 53.5 | 25 |
| 65.1 | 36 |
| 67.1 | 27 |
| 68.5 | 24 |

Crystal structure
Lattice parameters (Å, degrees): 9.577 9.577 9.577 27.53 27.53 27.53
Positions (direct):
1 Li 0.101 0.101 0.101
2 Li 0.899 0.899 0.899
3 La 0.368 0.368 0.368
4 La 0.632 0.632 0.632
5 Pm 0.500 0.500 0.500
6 Ge 0.234 0.234 0.234
7 Ge 0.766 0.766 0.766


(5)
Theoretical X-ray powder pattern of LiLaGe2Pt for Cu Kα X-rays, from a cell relaxed with GGA-PBE.
Kinematic intensities with the Lorentz-polarization factor, no thermal factor.

Principal peaks in the range 10 to 90 degrees two-theta, low angle first:
| Position (°2θ) | Rel. int. |
| --- | --- |
| 22.4 | 85 |
| 32.8 | 82 |
| 34.1 | 100 |
| 42.3 | 55 |
| 47.8 | 34 |
| 48.4 | 23 |
| 54.5 | 39 |
| 61.3 | 18 |
| 65.6 | 26 |
| 72.1 | 23 |

Crystal structure
Lattice parameters (Å, degrees): 6.118 6.118 6.118 139.09 139.09 59.24
Positions (direct):
1 Li 0.000 0.000 0.000
2 La 0.250 0.750 0.500
3 Ge 0.631 0.131 0.500
4 Ge 0.869 0.369 0.500
5 Pt 0.500 0.500 0.000


(6)
Theoretical X-ray powder pattern of LiLa2GeS5 for Cu Kα X-rays, from a cell relaxed with GGA-PBE.
Kinematic intensities with the Lorentz-polarization factor, no thermal factor.

Principal peaks in the range 10 to 90 degrees two-theta, low angle first:
| Position (°2θ) | Rel. int. |
| --- | --- |
| 21.1 | 66 |
| 25.9 | 75 |
| 27.2 | 72 |
| 31.1 | 58 |
| 32.5 | 100 |
| 32.9 | 43 |
| 37.9 | 51 |
| 42.0 | 57 |
| 43.6 | 45 |
| 46.0 | 41 |

Crystal structure
Lattice parameters (Å, degrees): 8.671 8.671 11.319 90.00 90.00 152.30
Positions (direct):
1 Li 0.214 0.786 0.500
2 Li 0.786 0.214 0.000
3 La 0.123 0.877 0.165
4 La 0.133 0.867 0.787
5 La 0.867 0.133 0.287
6 La 0.877 0.123 0.665
7 Ge 0.436 0.564 0.941
8 Ge 0.564 0.436 0.441
9 S 0.046 0.954 0.532
10 S 0.294 0.706 0.150
11 S 0.315 0.685 0.838
12 S 0.359 0.641 0.483
13 S 0.500 0.500 0.259
14 S 0.500 0.500 0.759
15 S 0.641 0.359 0.983
16 S 0.685 0.315 0.338
17 S 0.706 0.294 0.650
18 S 0.954 0.046 0.032


(7)
Theoretical X-ray powder pattern of Li2LaYGe2 for Cu Kα X-rays, from a cell relaxed with GGA-PBE.
Kinematic intensities with the Lorentz-polarization factor, no thermal factor.

Principal peaks in the range 10 to 90 degrees two-theta, low angle first:
| Position (°2θ) | Rel. int. |
| --- | --- |
| 22.9 | 30 |
| 25.8 | 36 |
| 33.2 | 100 |
| 40.2 | 47 |
| 43.0 | 7 |
| 48.4 | 15 |
| 53.1 | 26 |
| 64.7 | 26 |
| 68.6 | 24 |
| 73.1 | 8 |

Crystal structure
Lattice parameters (Å, degrees): 4.487 4.487 7.516 90.00 90.00 120.00
Positions (direct):
1 Li 0.333 0.667 0.209
2 Li 0.667 0.333 0.791
3 La 0.000 0.000 0.500
4 Y 0.000 0.000 0.000
5 Ge 0.333 0.667 0.766
6 Ge 0.667 0.333 0.234


(8)
Theoretical X-ray powder pattern of La2Mn3Ge4 for Cu Kα X-rays, from a cell relaxed with GGA-PBE.
Kinematic intensities with the Lorentz-polarization factor, no thermal factor.

Principal peaks in the range 10 to 90 degrees two-theta, low angle first:
| Position (°2θ) | Rel. int. |
| --- | --- |
| 32.8 | 48 |
| 34.7 | 100 |
| 34.8 | 57 |
| 36.6 | 31 |
| 36.9 | 54 |
| 38.5 | 19 |
| 38.7 | 77 |
| 53.1 | 21 |
| 57.0 | 23 |
| 59.7 | 20 |

Crystal structure
Lattice parameters (Å, degrees): 8.311 8.311 7.704 90.00 90.00 138.84
Positions (direct):
1 La 0.111 0.889 0.906
2 La 0.389 0.611 0.406
3 La 0.611 0.389 0.594
4 La 0.889 0.111 0.094
5 Mn 0.000 0.000 0.500
6 Mn 0.034 0.466 0.750
7 Mn 0.466 0.034 0.250
8 Mn 0.500 0.500 0.000
9 Mn 0.534 0.966 0.750
10 Mn 0.966 0.534 0.250
11 Ge 0.190 0.810 0.533
12 Ge 0.196 0.304 0.750
13 Ge 0.304 0.196 0.250
14 Ge 0.310 0.690 0.033
15 Ge 0.690 0.310 0.967
16 Ge 0.696 0.804 0.750
17 Ge 0.804 0.696 0.250
18 Ge 0.810 0.190 0.467


(9)
Theoretical X-ray powder pattern of La2MnGePd for Cu Kα X-rays, from a cell relaxed with GGA-PBE.
Kinematic intensities with the Lorentz-polarization factor, no thermal factor.

Principal peaks in the range 10 to 90 degrees two-theta, low angle first:
| Position (°2θ) | Rel. int. |
| --- | --- |
| 19.4 | 41 |
| 25.2 | 23 |
| 29.9 | 80 |
| 32.0 | 100 |
| 37.7 | 30 |
| 39.4 | 28 |
| 45.9 | 37 |
| 51.6 | 51 |
| 55.7 | 27 |
| 62.1 | 29 |

Crystal structure
Lattice parameters (Å, degrees): 5.592 5.592 4.572 90.00 90.00 90.00
Positions (direct):
1 La 0.000 0.500 0.000
2 La 0.500 0.000 0.000
3 Mn 0.000 0.000 0.500
4 Ge 0.500 0.500 0.500
5 Pd 0.000 0.000 0.000


(10)
Theoretical X-ray powder pattern of La4Ge2N for Cu Kα X-rays, from a cell relaxed with GGA-PBE.
Kinematic intensities with the Lorentz-polarization factor, no thermal factor.

Principal peaks in the range 10 to 90 degrees two-theta, low angle first:
| Position (°2θ) | Rel. int. |
| --- | --- |
| 11.2 | 21 |
| 25.8 | 23 |
| 27.3 | 74 |
| 28.3 | 79 |
| 33.6 | 37 |
| 33.8 | 54 |
| 34.0 | 40 |
| 34.6 | 57 |
| 36.3 | 100 |
| 50.6 | 42 |

Crystal structure
Lattice parameters (Å, degrees): 8.616 8.616 7.160 90.00 90.00 133.03
Positions (direct):
1 La 0.174 0.826 0.949
2 La 0.233 0.267 0.750
3 La 0.267 0.233 0.250
4 La 0.326 0.674 0.449
5 La 0.674 0.326 0.551
6 La 0.733 0.767 0.750
7 La 0.767 0.733 0.250
8 La 0.826 0.174 0.051
9 Ge 0.135 0.865 0.527
10 Ge 0.365 0.635 0.027
11 Ge 0.635 0.365 0.973
12 Ge 0.865 0.135 0.473
13 N 0.000 0.000 0.000
14 N 0.500 0.500 0.500


(11)
Theoretical X-ray powder pattern of LaGeN2 for Cu Kα X-rays, from a cell relaxed with GGA-PBE.
Kinematic intensities with the Lorentz-polarization factor, no thermal factor.

Principal peaks in the range 10 to 90 degrees two-theta, low angle first:
| Position (°2θ) | Rel. int. |
| --- | --- |
| 23.7 | 22 |
| 25.2 | 59 |
| 27.7 | 100 |
| 29.4 | 33 |
| 29.6 | 54 |
| 31.2 | 61 |
| 33.0 | 42 |
| 37.0 | 25 |
| 41.7 | 31 |
| 48.1 | 23 |

Crystal structure
Lattice parameters (Å, degrees): 7.607 7.607 12.149 111.69 111.69 58.03
Positions (direct):
1 La 0.022 0.755 0.557
2 La 0.245 0.978 0.943
3 La 0.254 0.438 0.852
4 La 0.438 0.254 0.352
5 La 0.562 0.746 0.648
6 La 0.746 0.562 0.148
7 La 0.755 0.022 0.057
8 La 0.978 0.245 0.443
9 Ge 0.053 0.776 0.319
10 Ge 0.224 0.947 0.181
11 Ge 0.320 0.472 0.126
12 Ge 0.472 0.320 0.626
13 Ge 0.528 0.680 0.374
14 Ge 0.680 0.528 0.874
15 Ge 0.776 0.053 0.819
16 Ge 0.947 0.224 0.681
17 N 0.015 0.985 0.250
18 N 0.123 0.512 0.201
19 N 0.231 0.372 0.498
20 N 0.262 0.687 0.052
21 N 0.313 0.738 0.448
22 N 0.372 0.231 0.998
23 N 0.417 0.583 0.750
24 N 0.488 0.877 0.299
25 N 0.512 0.123 0.701
26 N 0.583 0.417 0.250
27 N 0.628 0.769 0.002
28 N 0.687 0.262 0.552
29 N 0.738 0.313 0.948
30 N 0.769 0.628 0.502
31 N 0.877 0.488 0.799
32 N 0.985 0.015 0.750


(12)
Theoretical X-ray powder pattern of La3Ge2N6 for Cu Kα X-rays, from a cell relaxed with GGA-PBE.
Kinematic intensities with the Lorentz-polarization factor, no thermal factor.

Principal peaks in the range 10 to 90 degrees two-theta, low angle first:
| Position (°2θ) | Rel. int. |
| --- | --- |
| 23.2 | 13 |
| 31.6 | 100 |
| 32.4 | 55 |
| 42.0 | 19 |
| 46.5 | 28 |
| 54.4 | 9 |
| 55.8 | 13 |
| 57.4 | 37 |
| 66.0 | 10 |
| 77.3 | 9 |

Crystal structure
Lattice parameters (Å, degrees): 10.642 10.642 10.642 158.87 158.87 30.06
Positions (direct):
1 La 0.000 0.000 0.000
2 La 0.183 0.183 0.000
3 La 0.817 0.817 0.000
4 Ge 0.394 0.394 0.000
5 Ge 0.606 0.606 0.000
6 N 0.085 0.585 0.500
7 N 0.302 0.302 0.000
8 N 0.415 0.915 0.500
9 N 0.585 0.085 0.500
10 N 0.698 0.698 0.000
11 N 0.915 0.415 0.500


(13)
Theoretical X-ray powder pattern of La6Ge3N for Cu Kα X-rays, from a cell relaxed with GGA-PBE.
Kinematic intensities with the Lorentz-polarization factor, no thermal factor.

Principal peaks in the range 10 to 90 degrees two-theta, low angle first:
| Position (°2θ) | Rel. int. |
| --- | --- |
| 22.3 | 24 |
| 25.4 | 73 |
| 27.9 | 30 |
| 28.9 | 51 |
| 32.3 | 89 |
| 35.2 | 100 |
| 37.1 | 46 |
| 38.0 | 46 |
| 51.3 | 26 |
| 52.1 | 27 |

Crystal structure
Lattice parameters (Å, degrees): 8.546 8.546 8.546 97.04 97.04 97.04
Positions (direct):
1 La 0.033 0.924 0.699
2 La 0.076 0.301 0.967
3 La 0.209 0.557 0.432
4 La 0.301 0.967 0.076
5 La 0.432 0.209 0.557
6 La 0.443 0.568 0.791
7 La 0.557 0.432 0.209
8 La 0.568 0.791 0.443
9 La 0.699 0.033 0.924
10 La 0.791 0.443 0.568
11 La 0.924 0.699 0.033
12 La 0.967 0.076 0.301
13 Ge 0.108 0.282 0.616
14 Ge 0.282 0.616 0.108
15 Ge 0.384 0.892 0.718
16 Ge 0.616 0.108 0.282
17 Ge 0.718 0.384 0.892
18 Ge 0.892 0.718 0.384
19 N 0.000 0.000 0.000
20 N 0.500 0.500 0.500